Entry 1:
The following is a calculated X-ray diffraction stick pattern of TlCuRu2. It was derived from a GGA-PBE-relaxed structure, using Cu Kα.
Kinematic intensities with the Lorentz-polarization factor, no thermal factor.

Crystal structure
a = 4.678 Å, b = 4.678 Å, c = 5.041 Å
α = 100.45°, β = 100.45°, γ = 35.92°
Positions (direct):
1 Tl 0.000 0.000 0.000
2 Cu 0.500 0.500 0.500
3 Ru 0.242 0.242 0.712
4 Ru 0.758 0.758 0.288

Main lines, in order of falling intensity (5° ≤ 2θ ≤ 70°):
Position (°2θ), d [Å], Rel. int.
38.50, 2.338, 100
45.58, 1.990, 64
38.24, 2.354, 49
41.34, 2.184, 42
45.44, 1.996, 28
24.48, 3.637, 19

=====

Entry 2:
The following is a calculated X-ray diffraction stick pattern of Li2AcTbSb2. It was derived from a GGA-PBE-relaxed structure, using Cu Kα.
Kinematic intensities with the Lorentz-polarization factor, no thermal factor.

Crystal structure
a = 4.755 Å, b = 4.755 Å, c = 7.801 Å
α = 90.00°, β = 90.00°, γ = 120.00°
Positions (direct):
1 Li 0.333 0.667 0.206
2 Li 0.667 0.333 0.794
3 Ac 0.000 0.000 0.500
4 Tb 0.000 0.000 0.000
5 Sb 0.333 0.667 0.775
6 Sb 0.667 0.333 0.225

Main lines, in order of falling intensity (5° ≤ 2θ ≤ 70°):
Position (°2θ), d [Å], Rel. int.
31.59, 2.832, 100
37.84, 2.378, 49
24.44, 3.642, 35
21.58, 4.118, 32
50.10, 1.821, 28
64.45, 1.446, 26